# RbFe3Br9
Simulated powder diffractogram, Cu Kα (λ = 1.5418 Å). Input: a GGA-PBE-relaxed structure.
No peak broadening, texture or thermal motion is included.

Main lines, in order of falling intensity (15° ≤ 2θ ≤ 90°):
hkl 0 0 2, 2θ = 16.36°, intensity 100; hkl 0 2 3, 2θ = 26.94°, intensity 96; hkl 3 1 3, 2θ = 33.33°, intensity 78; hkl 3 1 1, 2θ = 23.59°, intensity 75; hkl 1 5 0, 2θ = 28.02°, intensity 62; hkl 1 3 0, 2θ = 17.66°, intensity 62; hkl 2 2 0, 2θ = 17.86°, intensity 49; hkl 2 2 2, 2θ = 24.31°, intensity 49

Structure:
a b c (Å): 12.4486 16.4678 10.8371
angles (deg): 90.00 90.00 90.00
Space group C222_1 (No. 20)
Inequivalent atoms, fractional coordinates:
Rb1 0.1073 0.0000 0.0000
Fe1 0.0092 0.3390 0.4458
Fe2 0.2502 0.0000 0.5000
Br1 0.0000 0.4155 0.2500
Br2 0.0128 0.2003 0.0753
Br3 0.1440 0.0420 0.6673
Br4 0.1441 0.3846 0.9258
Br5 0.1662 0.3734 0.5489

---

# RbScFe2Br8
Simulated powder diffractogram, Cu Kα (λ = 1.5418 Å). Input: a GGA-PBE-relaxed structure.
No peak broadening, texture or thermal motion is included.

Main lines, in order of falling intensity (15° ≤ 2θ ≤ 90°):
hkl 0 2 2, 2θ = 29.52°, intensity 100; hkl 2 2 0, 2θ = 28.45°, intensity 84; hkl 4 2 2, 2θ = 45.75°, intensity 73; hkl 2 2 -1, 2θ = 29.36°, intensity 67; hkl 3 1 0, 2θ = 26.84°, intensity 66; hkl 1 1 2, 2θ = 23.39°, intensity 62; hkl 2 0 -3, 2θ = 29.94°, intensity 48; hkl 2 0 2, 2θ = 25.21°, intensity 46

Structure:
a b c (Å): 11.1254 7.6163 10.0217
angles (deg): 90.00 95.73 90.00
Space group C2/m (No. 12)
Inequivalent atoms, fractional coordinates:
Rb1 0.0000 0.0000 0.0000
Sc1 0.0000 0.0000 0.5000
Fe1 0.1227 0.5000 0.2941
Br1 0.0166 0.2454 0.6945
Br2 0.1905 0.5000 0.0784
Br3 0.2387 0.0000 0.5007

---

# Rb2SrFeBr6
Simulated powder diffractogram, Cu Kα (λ = 1.5418 Å). Input: a GGA-PBE-relaxed structure.
No peak broadening, texture or thermal motion is included.

Main lines, in order of falling intensity (15° ≤ 2θ ≤ 90°):
hkl 4 0 0, 2θ = 31.82°, intensity 100; hkl 2 2 2, 2θ = 27.46°, intensity 79; hkl 4 4 0, 2θ = 45.62°, intensity 69; hkl 6 2 2, 2θ = 54.07°, intensity 31; hkl 8 4 0, 2θ = 75.60°, intensity 27; hkl 4 4 4, 2θ = 56.69°, intensity 23; hkl 2 2 0, 2θ = 22.35°, intensity 20; hkl 8 4 4, 2θ = 84.35°, intensity 20

Structure:
a b c (Å): 11.2501 11.2501 11.2501
angles (deg): 90.00 90.00 90.00
Space group Fm-3m (No. 225)
Inequivalent atoms, fractional coordinates:
Rb1 0.2500 0.2500 0.2500
Sr1 0.0000 0.0000 0.0000
Fe1 0.0000 0.0000 0.5000
Br1 0.0000 0.0000 0.2663

---

# Rb2VFeBr6
Simulated powder diffractogram, Cu Kα (λ = 1.5418 Å). Input: a GGA-PBE-relaxed structure.
No peak broadening, texture or thermal motion is included.

Main lines, in order of falling intensity (15° ≤ 2θ ≤ 90°):
hkl 2 2 2, 2θ = 29.25°, intensity 100; hkl 4 0 0, 2θ = 33.90°, intensity 98; hkl 4 4 0, 2θ = 48.70°, intensity 68; hkl 6 2 2, 2θ = 57.82°, intensity 43; hkl 8 4 0, 2θ = 81.36°, intensity 30; hkl 4 4 4, 2θ = 60.65°, intensity 23; hkl 6 6 2, 2θ = 78.89°, intensity 18; hkl 2 2 0, 2θ = 23.79°, intensity 12

Structure:
a b c (Å): 10.5780 10.5780 10.5780
angles (deg): 90.00 90.00 90.00
Space group Fm-3m (No. 225)
Inequivalent atoms, fractional coordinates:
Rb1 0.2500 0.2500 0.2500
V1 0.0000 0.0000 0.0000
Fe1 0.0000 0.0000 0.5000
Br1 0.0000 0.0000 0.2503

---

# RbYFe2Br8
Simulated powder diffractogram, Cu Kα (λ = 1.5418 Å). Input: a GGA-PBE-relaxed structure.
No peak broadening, texture or thermal motion is included.

Main lines, in order of falling intensity (15° ≤ 2θ ≤ 90°):
hkl 0 2 2, 2θ = 28.91°, intensity 100; hkl 4 2 2, 2θ = 44.82°, intensity 89; hkl 3 1 0, 2θ = 26.37°, intensity 61; hkl 2 2 0, 2θ = 27.84°, intensity 57; hkl 1 1 2, 2θ = 22.98°, intensity 46; hkl 1 1 -1, 2θ = 15.96°, intensity 45; hkl 4 2 -3, 2θ = 46.27°, intensity 37; hkl 2 2 -1, 2θ = 28.76°, intensity 36

Structure:
a b c (Å): 11.3048 7.7969 10.1680
angles (deg): 90.00 95.52 90.00
Space group C2/m (No. 12)
Inequivalent atoms, fractional coordinates:
Rb1 0.0000 0.0000 0.0000
Y1 0.0000 0.0000 0.5000
Fe1 0.1230 0.5000 0.2871
Br1 0.0142 0.2495 0.7035
Br2 0.1954 0.5000 0.0773
Br3 0.2486 0.0000 0.5044

---

# FeReBr4
Simulated powder diffractogram, Cu Kα (λ = 1.5418 Å). Input: a GGA-PBE-relaxed structure.
No peak broadening, texture or thermal motion is included.

Main lines, in order of falling intensity (15° ≤ 2θ ≤ 90°):
hkl 3 1 1, 2θ = 33.99°, intensity 100; hkl 2 2 0, 2θ = 28.87°, intensity 38; hkl 5 1 1, 2θ = 54.51°, intensity 34; hkl 2 2 2, 2θ = 35.55°, intensity 30; hkl 4 4 0, 2θ = 59.81°, intensity 26; hkl 5 5 3, 2θ = 85.21°, intensity 22; hkl 4 2 2, 2θ = 51.16°, intensity 15; hkl 5 3 3, 2θ = 70.61°, intensity 12

Structure:
a b c (Å): 8.7473 8.7473 8.7473
angles (deg): 90.00 90.00 90.00
Space group F-43m (No. 216)
Inequivalent atoms, fractional coordinates:
Fe1 0.0000 0.0000 0.0000
Re1 0.2500 0.2500 0.7500
Br1 0.1254 0.1254 0.3746

---

# Fe2Re2Br
Simulated powder diffractogram, Cu Kα (λ = 1.5418 Å). Input: a GGA-PBE-relaxed structure.
No peak broadening, texture or thermal motion is included.

Main lines, in order of falling intensity (15° ≤ 2θ ≤ 90°):
hkl 1 1 2, 2θ = 37.28°, intensity 100; hkl 1 1 6, 2θ = 52.09°, intensity 49; hkl 1 1 4, 2θ = 43.30°, intensity 48; hkl 2 0 0, 2θ = 50.43°, intensity 45; hkl 0 0 4, 2θ = 24.57°, intensity 36; hkl 2 2 0, 2θ = 74.10°, intensity 28; hkl 3 1 2, 2θ = 86.03°, intensity 24; hkl 1 0 3, 2θ = 30.88°, intensity 21

Structure:
a b c (Å): 3.6173 3.6173 14.4910
angles (deg): 90.00 90.00 90.00
Space group I4/mmm (No. 139)
Inequivalent atoms, fractional coordinates:
Fe1 0.0000 0.0000 0.1246
Re1 0.0000 0.5000 0.2500
Br1 0.0000 0.0000 0.5000

---

# Fe2RuBr
Simulated powder diffractogram, Cu Kα (λ = 1.5418 Å). Input: a GGA-PBE-relaxed structure.
No peak broadening, texture or thermal motion is included.

Main lines, in order of falling intensity (15° ≤ 2θ ≤ 90°):
hkl 1 1 -1, 2θ = 43.65°, intensity 100; hkl 0 1 2, 2θ = 39.51°, intensity 96; hkl 1 0 0, 2θ = 28.75°, intensity 62; hkl 1 0 3, 2θ = 49.50°, intensity 47; hkl 1 0 -3, 2θ = 49.29°, intensity 34; hkl 1 1 2, 2θ = 49.70°, intensity 27; hkl 1 1 0, 2θ = 41.53°, intensity 25; hkl 0 1 1, 2θ = 32.13°, intensity 25

Structure:
a b c (Å): 3.1049 3.0462 6.8835
angles (deg): 90.00 90.22 90.00
Space group Pm (No. 6)
Inequivalent atoms, fractional coordinates:
Fe1 0.0000 0.0000 0.0000
Fe2 0.4984 0.5000 0.8072
Ru1 0.9966 0.0000 0.6283
Br1 0.9893 0.5000 0.3002

---

# FeS4Br
Simulated powder diffractogram, Cu Kα (λ = 1.5418 Å). Input: a GGA-PBE-relaxed structure.
No peak broadening, texture or thermal motion is included.

Main lines, in order of falling intensity (15° ≤ 2θ ≤ 90°):
hkl 1 -1 0, 2θ = 15.19°, intensity 100; hkl 0 0 2, 2θ = 23.62°, intensity 40; hkl 1 -2 0, 2θ = 23.14°, intensity 30; hkl 1 1 0, 2θ = 25.49°, intensity 28; hkl 2 0 -2, 2θ = 30.50°, intensity 26; hkl -1 1 2, 2θ = 24.49°, intensity 22; hkl 1 0 0, 2θ = 16.37°, intensity 19; hkl 1 1 -1, 2θ = 22.88°, intensity 15

Structure:
a b c (Å): 6.7222 7.8102 8.5169
angles (deg): 93.61 113.05 114.81
Space group P-1 (No. 2)
Inequivalent atoms, fractional coordinates:
Fe1 0.0198 0.4705 0.1552
S1 0.0604 0.7633 0.2430
S2 0.0812 0.8053 0.7764
S3 0.1864 0.4315 0.4251
S4 0.1968 0.4101 0.0122
Br1 0.4574 0.9549 0.7540

---

# Sm4FeBr5
Simulated powder diffractogram, Cu Kα (λ = 1.5418 Å). Input: a GGA-PBE-relaxed structure.
No peak broadening, texture or thermal motion is included.

Main lines, in order of falling intensity (15° ≤ 2θ ≤ 90°):
hkl 1 1 -2, 2θ = 29.72°, intensity 100; hkl 5 1 2, 2θ = 43.04°, intensity 52; hkl 6 0 0, 2θ = 30.41°, intensity 35; hkl 2 0 -4, 2θ = 40.03°, intensity 20; hkl 0 2 0, 2θ = 44.91°, intensity 16; hkl 6 0 -2, 2θ = 32.23°, intensity 14; hkl 5 1 0, 2θ = 33.75°, intensity 13; hkl 6 2 0, 2θ = 55.21°, intensity 13

Structure:
a b c (Å): 18.2095 4.0366 9.0103
angles (deg): 90.00 104.44 90.00
Space group C2/m (No. 12)
Inequivalent atoms, fractional coordinates:
Sm1 0.0005 0.0000 0.2282
Sm2 0.1379 0.5000 0.0724
Fe1 0.0000 0.5000 0.0000
Br1 0.0000 0.5000 0.5000
Br2 0.1677 0.0000 0.3241
Br3 0.1708 0.0000 0.8474